Diffraction record for Na3YZrSi2SO12. The X-ray diffraction stick pattern is calculated, not measured: it uses a cell relaxed with GGA-PBE and Cu Kα.
Peak positions follow from Bragg's law for the DFT cell and can differ from measured ones.

Structure:
a = 9.3535 Å, b = 9.3535 Å, c = 9.4462 Å
α = 120.25°, β = 120.25°, γ = 59.89°
Sites, in units of the cell vectors:
Na  0.0636  0.9364  0.5000
Na  0.3070  0.8526  0.9247
Na  0.5699  0.7089  0.2909
Na  0.7089  0.5699  0.7909
Na  0.8526  0.3070  0.4247
Na  0.9364  0.0636  0.0000
Y  0.4485  0.9698  0.7519
Y  0.9698  0.4485  0.2519
Zr  0.1401  0.6621  0.0262
Zr  0.6621  0.1401  0.5262
Si  0.0422  0.2551  0.8440
Si  0.2551  0.0422  0.3440
Si  0.7561  0.8509  0.1459
Si  0.8509  0.7561  0.6459
S  0.3666  0.5525  0.4385
S  0.5525  0.3666  0.9385
O  0.0010  0.2709  0.9992
O  0.0306  0.7484  0.8226
O  0.0687  0.1953  0.2948
O  0.0873  0.4344  0.9036
O  0.1953  0.0687  0.7948
O  0.2113  0.5210  0.4066
O  0.2623  0.8614  0.1671
O  0.2709  0.0010  0.4992
O  0.3413  0.5878  0.2889
O  0.3852  0.7041  0.6028
O  0.3996  0.5284  0.9657
O  0.4344  0.0873  0.4036
O  0.5210  0.2113  0.9066
O  0.5284  0.3996  0.4657
O  0.5811  0.8694  0.9761
O  0.5878  0.3413  0.7889
O  0.6880  0.7891  0.6893
O  0.7041  0.3852  0.1028
O  0.7484  0.0306  0.3226
O  0.7891  0.6880  0.1893
O  0.8128  0.9358  0.6142
O  0.8614  0.2623  0.6671
O  0.8694  0.5811  0.4761
O  0.9358  0.8128  0.1142

Largest 8 diffraction maxima, sorted by position, 10 to 80 degrees two-theta:
18.79 deg, intensity 35; 18.97 deg, intensity 100; 22.32 deg, intensity 34; 26.85 deg, intensity 24; 29.95 deg, intensity 33; 30.15 deg, intensity 36; 30.27 deg, intensity 37; 33.17 deg, intensity 60